# CoPO4
Simulated PXRD pattern, Cu Kα X-rays. Input: the PBE+U geometry in Alexandria.

Most intense lines, 2θ from 5° to 70°, by angle:
- 14.19°, 6.242 Å, I 66, hkl 1 1 0
- 20.61°, 4.309 Å, I 100, hkl 0 1 1
- 28.38°, 3.144 Å, I 14, hkl 3 1 0
- 29.89°, 2.989 Å, I 15, hkl 1 2 1
- 33.56°, 2.670 Å, I 15, hkl 2 2 1
- 34.76°, 2.580 Å, I 19, hkl 0 0 2

Structure:
Unit cell a=10.2955 b=7.8487 c=5.1589 alpha=90.00 beta=90.00 gamma=90.00
Space group Pna2_1 (No. 33)
Inequivalent atoms, fractional coordinates:
Co: 0.1119 0.1806 0.0000 [4 per cell]
P: 0.1737 0.9604 0.5052 [4 per cell]
O: 0.0667 0.8227 0.4635 [4 per cell]
O: 0.1440 0.1230 0.3466 [4 per cell]
O: 0.1827 0.0071 0.7961 [4 per cell]
O: 0.1944 0.3829 0.9207 [4 per cell]